[1]
For Ac2Zn4SnPd3, a DFT-relaxed cell (GGA-PBE, Alexandria) gives the computed X-ray powder pattern in this record (Cu Kα (weighted mean of Kα1 and Kα2)).

Structural model:
```
data_Ac2Zn4SnPd3
_space_group_name_H-M_alt 'P -4 m 2'
_space_group_IT_number 115
_space_group_name_Hall 'P -4 -2'
_cell_length_a 4.3422
_cell_length_b 4.3422
_cell_length_c 11.3942
_cell_angle_alpha 90.00
_cell_angle_beta 90.00
_cell_angle_gamma 90.00
loop_
_atom_site_label
_atom_site_fract_x
_atom_site_fract_y
_atom_site_fract_z
Ac1 0.0000 0.5000 0.2399
Zn1 0.0000 0.0000 0.0000
Zn2 0.0000 0.5000 0.6431
Zn3 0.5000 0.5000 0.0000
Sn1 0.0000 0.0000 0.5000
Pd1 0.0000 0.5000 0.8700
Pd2 0.5000 0.5000 0.5000
```

Main lines, low angle first (2θ from 10° to 90°):
hkl 1 1 0, 2θ 29.08, intensity 17; hkl 1 0 3, 2θ 31.29, intensity 63; hkl 1 1 2, 2θ 33.14, intensity 100; hkl 2 0 0, 2θ 41.60, intensity 50; hkl 1 0 5, 2θ 44.92, intensity 32; hkl 2 1 3, 2θ 52.97, intensity 37; hkl 1 1 6, 2θ 57.02, intensity 13; hkl 2 2 0, 2θ 60.29, intensity 17; hkl 2 1 5, 2θ 62.88, intensity 23; hkl 3 1 2, 2θ 70.55, intensity 23



[2]
For Ca8Hg2P, a DFT-relaxed cell (GGA-PBE, Alexandria) gives the computed X-ray powder pattern in this record (Cu Kα (weighted mean of Kα1 and Kα2)).

Structural model:
```
data_Ca8Hg2P
_space_group_name_H-M_alt 'C 1 2/m 1'
_space_group_IT_number 12
_space_group_name_Hall '-C 2y'
_cell_length_a 22.8082
_cell_length_b 4.2938
_cell_length_c 7.8896
_cell_angle_alpha 90.00
_cell_angle_beta 90.67
_cell_angle_gamma 90.00
loop_
_atom_site_label
_atom_site_fract_x
_atom_site_fract_y
_atom_site_fract_z
Ca1 0.0101 0.0000 0.2658
Ca2 0.1061 0.5000 0.9729
Ca3 0.1250 0.5000 0.4861
Ca4 0.2332 0.0000 0.7967
Hg1 0.1627 0.0000 0.2037
P1 0.0000 0.5000 0.5000
```

Main lines, low angle first (2θ from 10° to 90°):
hkl 2 0 -1, 2θ 13.57, intensity 28; hkl 2 0 1, 2θ 13.72, intensity 100; hkl 4 0 -1, 2θ 19.10, intensity 29; hkl 2 0 -2, 2θ 23.79, intensity 41; hkl 1 1 -1, 2θ 23.90, intensity 44; hkl 5 1 0, 2θ 28.55, intensity 32; hkl 5 1 1, 2θ 30.85, intensity 41; hkl 1 1 2, 2θ 31.06, intensity 67; hkl 3 1 -2, 2θ 32.91, intensity 34; hkl 7 1 -1, 2θ 36.34, intensity 30



[3]
For SrZnGaCu2, a DFT-relaxed cell (GGA-PBE, Alexandria) gives the computed X-ray powder pattern in this record (Cu Kα (weighted mean of Kα1 and Kα2)).

Structural model:
```
data_SrZnGaCu2
_space_group_name_H-M_alt 'I m m 2'
_space_group_IT_number 44
_space_group_name_Hall 'I 2 -2'
_cell_length_a 4.2257
_cell_length_b 4.3803
_cell_length_c 10.4907
_cell_angle_alpha 90.00
_cell_angle_beta 90.00
_cell_angle_gamma 90.00
loop_
_atom_site_label
_atom_site_fract_x
_atom_site_fract_y
_atom_site_fract_z
Sr1 0.0000 0.0000 0.0000
Zn1 0.0000 0.0000 0.6214
Ga1 0.0000 0.5000 0.7547
Cu1 0.0000 0.0000 0.3779
Cu2 0.0000 0.5000 0.2565
```

Main lines, low angle first (2θ from 10° to 90°):
hkl 0 1 3, 2θ 32.77, intensity 32; hkl 1 0 3, 2θ 33.26, intensity 32; hkl 1 1 2, 2θ 34.08, intensity 100; hkl 0 2 0, 2θ 41.22, intensity 36; hkl 2 0 0, 2θ 42.80, intensity 32; hkl 1 1 4, 2θ 45.68, intensity 29; hkl 1 2 3, 2θ 53.95, intensity 15; hkl 2 1 3, 2θ 54.93, intensity 14; hkl 2 2 0, 2θ 60.93, intensity 22; hkl 1 1 6, 2θ 61.14, intensity 14